(1)
Diffraction record for RbCd2PbAu2. The XRD peak list is simulated, not measured: it uses a structure optimized by DFT (PBE) and Cu Kα (λ = 1.5418 Å).

Main lines, sorted by position (2θ = 15–90°):
d = 3.013 Å, 2θ = 29.6°, rel. 100; d = 2.446 Å, 2θ = 36.7°, rel. 87; d = 2.369 Å, 2θ = 38.0°, rel. 32; d = 2.352 Å, 2θ = 38.3°, rel. 25; d = 1.899 Å, 2θ = 47.9°, rel. 27; d = 1.858 Å, 2θ = 49.0°, rel. 19; d = 1.500 Å, 2θ = 61.9°, rel. 25; d = 1.412 Å, 2θ = 66.2°, rel. 16; d = 1.404 Å, 2θ = 66.6°, rel. 16; d = 1.234 Å, 2θ = 77.4°, rel. 14

Atomic structure:
```
6
Lattice="4.8919 0.0000 0.0000 -2.4460 4.2365 0.0000 0.0000 0.0000 8.5720" Properties=species:S:1:pos:R:3 pbc="T T T"
Rb 0.0000 0.0000 0.0000
Cd 0.0000 2.8244 5.9619
Cd 2.4460 1.4122 2.6101
Pb 0.0000 0.0000 4.2860
Au 0.0000 2.8244 2.7491
Au 2.4460 1.4122 5.8229
```

***

(2)
Diffraction record for RbCdPbAu3. The XRD peak list is simulated, not measured: it uses a structure optimized by DFT (PBE) and Cu Kα (λ = 1.5418 Å).

Main lines, sorted by position (2θ = 15–90°):
d = 4.775 Å, 2θ = 18.6°, rel. 63; d = 3.389 Å, 2θ = 26.3°, rel. 100; d = 3.363 Å, 2θ = 26.5°, rel. 35; d = 3.235 Å, 2θ = 27.6°, rel. 31; d = 2.801 Å, 2θ = 31.9°, rel. 87; d = 2.551 Å, 2θ = 35.2°, rel. 75; d = 2.397 Å, 2θ = 37.5°, rel. 76; d = 1.936 Å, 2θ = 46.9°, rel. 30; d = 1.843 Å, 2θ = 49.4°, rel. 35; d = 1.800 Å, 2θ = 50.7°, rel. 32

Atomic structure:
```
12
Lattice="3.6954 -6.7887 0.0000 3.6954 6.7887 0.0000 -0.7287 0.0000 7.7442" Properties=species:S:1:pos:R:3 pbc="T T T"
Rb 3.1488 3.3906 5.8081
Rb 3.5132 -3.3906 1.9360
Cd 3.5132 6.2078 1.9360
Cd 3.1488 -6.2078 5.8081
Pb 3.5132 0.6773 1.9360
Pb 3.1488 -0.6773 5.8081
Au 1.4246 0.6149 3.8969
Au 3.5132 3.4722 1.9360
Au 1.7890 -0.6149 0.0249
Au 4.8731 0.6149 7.7193
Au 3.1488 -3.4722 5.8081
Au 5.2374 -0.6149 3.8472
```

***

(3)
Diffraction record for Rb2CdPbAu2. The XRD peak list is simulated, not measured: it uses a structure optimized by DFT (PBE) and Cu Kα (λ = 1.5418 Å).

Main lines, sorted by position (2θ = 15–90°):
d = 4.291 Å, 2θ = 20.7°, rel. 43; d = 3.288 Å, 2θ = 27.1°, rel. 32; d = 3.122 Å, 2θ = 28.6°, rel. 97; d = 2.665 Å, 2θ = 33.6°, rel. 100; d = 2.558 Å, 2θ = 35.1°, rel. 97; d = 2.433 Å, 2θ = 36.9°, rel. 32; d = 2.126 Å, 2θ = 42.5°, rel. 45; d = 1.979 Å, 2θ = 45.9°, rel. 53; d = 1.730 Å, 2θ = 52.9°, rel. 24; d = 1.495 Å, 2θ = 62.1°, rel. 27

Atomic structure:
```
12
Lattice="-3.6236 7.8807 3.6120 3.6236 -7.8807 3.6120 3.6236 7.8807 -3.6120" Properties=species:S:1:pos:R:3 pbc="T T T"
Rb 1.6995 2.8211 0.0000
Rb 1.6995 -2.8211 3.6120
Rb 1.9242 10.7018 0.0000
Rb 1.9242 5.0595 3.6120
Cd 0.0000 0.0000 1.8060
Cd 0.0000 0.0000 5.4180
Pb 3.6236 0.0000 1.8060
Pb 0.0000 7.8807 1.8060
Au 5.4648 1.4046 0.0000
Au 1.8412 6.4761 0.0000
Au 1.7825 1.4046 3.6120
Au -1.8412 6.4761 3.6120
```

***

(4)
Diffraction record for CdSiPb2Au6. The XRD peak list is simulated, not measured: it uses a structure optimized by DFT (PBE) and Cu Kα (λ = 1.5418 Å).

Main lines, sorted by position (2θ = 15–90°):
d = 3.538 Å, 2θ = 25.2°, rel. 25; d = 3.191 Å, 2θ = 28.0°, rel. 45; d = 2.783 Å, 2θ = 32.2°, rel. 36; d = 2.661 Å, 2θ = 33.7°, rel. 15; d = 2.407 Å, 2θ = 37.4°, rel. 100; d = 2.292 Å, 2θ = 39.3°, rel. 30; d = 2.254 Å, 2θ = 40.0°, rel. 37; d = 2.124 Å, 2θ = 42.6°, rel. 14; d = 1.645 Å, 2θ = 55.9°, rel. 22; d = 1.525 Å, 2θ = 60.7°, rel. 17

Atomic structure:
```
20
Lattice="5.6903 0.0000 0.0000 0.0000 9.0146 0.0000 0.0000 0.0000 9.0361" Properties=species:S:1:pos:R:3 pbc="T T T"
Cd 1.4226 2.2536 1.8807
Cd 4.2677 6.7609 7.1554
Si 1.4226 6.7609 2.4655
Si 4.2677 2.2536 6.5706
Pb 1.4226 4.7270 7.1592
Pb 1.4226 8.7949 7.1592
Pb 4.2677 0.2197 1.8769
Pb 4.2677 4.2876 1.8769
Au 0.0075 2.2536 8.5576
Au 0.0231 2.2536 4.3997
Au 1.4226 4.5598 3.5302
Au 1.4226 8.9621 3.5302
Au 2.8221 2.2536 4.3997
Au 2.8377 2.2536 8.5576
Au 2.8526 6.7609 0.4785
Au 2.8682 6.7609 4.6364
Au 4.2677 0.0525 5.5059
Au 4.2677 4.4548 5.5059
Au 5.6672 6.7609 4.6364
Au 5.6828 6.7609 0.4785
```

***

(5)
Diffraction record for Cd2Pd7Au3. The XRD peak list is simulated, not measured: it uses a structure optimized by DFT (PBE) and Cu Kα (λ = 1.5418 Å).

Main lines, sorted by position (2θ = 15–90°):
d = 3.499 Å, 2θ = 25.5°, rel. 10; d = 2.635 Å, 2θ = 34.0°, rel. 12; d = 2.324 Å, 2θ = 38.8°, rel. 100; d = 2.311 Å, 2θ = 39.0°, rel. 25; d = 2.298 Å, 2θ = 39.2°, rel. 23; d = 2.284 Å, 2θ = 39.4°, rel. 12; d = 2.212 Å, 2θ = 40.8°, rel. 19; d = 2.077 Å, 2θ = 43.6°, rel. 13; d = 2.007 Å, 2θ = 45.2°, rel. 9; d = 1.936 Å, 2θ = 46.9°, rel. 12

Atomic structure:
```
12
Lattice="4.6441 0.0000 0.0000 0.0000 2.8511 0.0000 -0.0368 0.0000 15.9905" Properties=species:S:1:pos:R:3 pbc="T T T"
Cd 1.1539 0.0000 3.3795
Cd 3.4534 0.0000 12.6110
Pd -0.0184 1.4256 7.9953
Pd 0.7171 0.0000 10.4589
Pd 1.1613 0.0000 0.7117
Pd 1.5847 1.4256 5.6665
Pd 3.0226 1.4256 10.3240
Pd 3.4460 0.0000 15.2788
Pd 3.8903 0.0000 5.5316
Au 1.1254 1.4256 14.1405
Au 2.3037 0.0000 7.9953
Au 3.4819 1.4256 1.8500
```

***

(6)
Diffraction record for Cd5PdAu2. The XRD peak list is simulated, not measured: it uses a structure optimized by DFT (PBE) and Cu Kα (λ = 1.5418 Å).

Main lines, sorted by position (2θ = 15–90°):
d = 4.877 Å, 2θ = 18.2°, rel. 21; d = 2.727 Å, 2θ = 32.8°, rel. 41; d = 2.624 Å, 2θ = 34.2°, rel. 33; d = 2.500 Å, 2θ = 35.9°, rel. 37; d = 2.367 Å, 2θ = 38.0°, rel. 100; d = 2.336 Å, 2θ = 38.5°, rel. 67; d = 2.329 Å, 2θ = 38.7°, rel. 76; d = 2.308 Å, 2θ = 39.0°, rel. 20; d = 1.952 Å, 2θ = 46.5°, rel. 22; d = 1.355 Å, 2θ = 69.4°, rel. 25

Atomic structure:
```
16
Lattice="2.3365 -4.8767 0.0000 2.3365 4.8767 0.0000 0.0000 0.0000 14.3058" Properties=species:S:1:pos:R:3 pbc="T T T"
Cd 2.3365 4.7649 10.7294
Cd 2.3365 3.5043 0.7289
Cd 2.3365 3.5043 6.4241
Cd 2.3365 0.4856 1.4540
Cd 2.3365 0.4856 5.6989
Cd 2.3365 -0.4856 8.6070
Cd 2.3365 -0.4856 12.8518
Cd 2.3365 -3.5043 7.8818
Cd 2.3365 -3.5043 13.5770
Cd 2.3365 -4.7649 3.5765
Pd 2.3365 2.2441 3.5765
Pd 2.3365 -2.2441 10.7294
Au 2.3365 2.3704 9.1492
Au 2.3365 2.3704 12.3095
Au 2.3365 -2.3704 1.9963
Au 2.3365 -2.3704 5.1566
```

***

(7)
Diffraction record for CdPd2Au7. The XRD peak list is simulated, not measured: it uses a structure optimized by DFT (PBE) and Cu Kα (λ = 1.5418 Å).

Main lines, sorted by position (2θ = 15–90°):
d = 4.518 Å, 2θ = 19.6°, rel. 50; d = 3.714 Å, 2θ = 24.0°, rel. 27; d = 2.869 Å, 2θ = 31.2°, rel. 27; d = 2.719 Å, 2θ = 32.9°, rel. 27; d = 2.510 Å, 2θ = 35.8°, rel. 47; d = 2.259 Å, 2θ = 39.9°, rel. 51; d = 2.226 Å, 2θ = 40.5°, rel. 100; d = 2.144 Å, 2θ = 42.1°, rel. 69; d = 1.679 Å, 2θ = 54.7°, rel. 28; d = 1.253 Å, 2θ = 75.9°, rel. 28

Atomic structure:
```
10
Lattice="3.7145 -6.8100 0.0000 3.7145 6.8100 0.0000 0.0000 0.0000 4.5181" Properties=species:S:1:pos:R:3 pbc="T T T"
Cd 0.0000 0.0000 0.0000
Pd 3.7145 2.7564 2.2590
Pd 3.7145 -2.7564 2.2590
Au 1.3750 1.4739 2.2590
Au 3.7145 4.0906 0.0000
Au 1.3750 -1.4739 2.2590
Au 3.7145 0.0000 2.2590
Au 6.0540 1.4739 2.2590
Au 3.7145 -4.0906 0.0000
Au 6.0540 -1.4739 2.2590
```

***

(8)
Diffraction record for Cd2Pd12Au5. The XRD peak list is simulated, not measured: it uses a structure optimized by DFT (PBE) and Cu Kα (λ = 1.5418 Å).

Main lines, sorted by position (2θ = 15–90°):
d = 2.573 Å, 2θ = 34.9°, rel. 23; d = 2.438 Å, 2θ = 36.9°, rel. 17; d = 2.322 Å, 2θ = 38.8°, rel. 57; d = 2.288 Å, 2θ = 39.4°, rel. 34; d = 2.231 Å, 2θ = 40.4°, rel. 100; d = 2.209 Å, 2θ = 40.9°, rel. 65; d = 2.025 Å, 2θ = 44.7°, rel. 15; d = 1.630 Å, 2θ = 56.5°, rel. 21; d = 1.323 Å, 2θ = 71.3°, rel. 16; d = 1.301 Å, 2θ = 72.7°, rel. 13

Atomic structure:
```
19
Lattice="7.0507 -4.6446 0.0000 7.0507 4.6446 0.0000 -1.1940 0.0000 4.9190" Properties=species:S:1:pos:R:3 pbc="T T T"
Cd 7.0507 2.6136 0.0000
Cd 7.0507 -2.6136 0.0000
Pd 3.2600 2.2588 3.9331
Pd 0.8735 0.0000 4.6856
Pd 5.1472 2.3152 1.9690
Pd 7.7603 2.3152 2.9501
Pd 5.4565 0.0000 3.4946
Pd 9.6475 2.2588 0.9860
Pd 3.2600 -2.2588 3.9331
Pd 7.4510 0.0000 1.4245
Pd 5.1472 -2.3152 1.9690
Pd 7.7603 -2.3152 2.9501
Pd 12.0339 0.0000 0.2335
Pd 9.6475 -2.2588 0.9860
Au -0.5970 0.0000 2.4595
Au 2.5816 0.0000 2.4974
Au 4.7334 0.0000 0.6014
Au 8.1741 0.0000 4.3176
Au 10.3258 0.0000 2.4216
```

***

(9)
Diffraction record for Cd3Pd5Au3. The XRD peak list is simulated, not measured: it uses a structure optimized by DFT (PBE) and Cu Kα (λ = 1.5418 Å).

Main lines, sorted by position (2θ = 15–90°):
d = 4.612 Å, 2θ = 19.2°, rel. 55; d = 4.064 Å, 2θ = 21.9°, rel. 32; d = 2.798 Å, 2θ = 32.0°, rel. 43; d = 2.347 Å, 2θ = 38.4°, rel. 47; d = 2.306 Å, 2θ = 39.1°, rel. 33; d = 2.091 Å, 2θ = 43.3°, rel. 100; d = 1.860 Å, 2θ = 49.0°, rel. 17; d = 1.645 Å, 2θ = 55.9°, rel. 33; d = 1.300 Å, 2θ = 72.7°, rel. 20; d = 1.286 Å, 2θ = 73.7°, rel. 21

Atomic structure:
```
11
Lattice="8.1289 0.0000 0.0000 -4.0644 7.0398 0.0000 0.0000 0.0000 4.6123" Properties=species:S:1:pos:R:3 pbc="T T T"
Cd -2.0010 3.4658 0.0000
Cd 4.0019 0.0000 0.0000
Cd 2.0635 3.5740 0.0000
Pd -1.3313 2.3059 2.3062
Pd 2.6626 0.0000 2.3062
Pd 0.0000 4.6932 2.3062
Pd 4.0644 2.3466 2.3062
Pd 2.7331 4.7339 2.3062
Au -2.7782 4.8120 2.3062
Au 1.2862 2.2278 2.3062
Au 5.5564 0.0000 2.3062
```

***

(10)
Diffraction record for CdPd2Au2. The XRD peak list is simulated, not measured: it uses a structure optimized by DFT (PBE) and Cu Kα (λ = 1.5418 Å).

Main lines, sorted by position (2θ = 15–90°):
d = 2.370 Å, 2θ = 38.0°, rel. 100; d = 2.345 Å, 2θ = 38.4°, rel. 83; d = 2.239 Å, 2θ = 40.3°, rel. 43; d = 2.188 Å, 2θ = 41.3°, rel. 32; d = 1.811 Å, 2θ = 50.4°, rel. 14; d = 1.792 Å, 2θ = 51.0°, rel. 19; d = 1.565 Å, 2θ = 59.0°, rel. 22; d = 1.399 Å, 2θ = 66.9°, rel. 17; d = 1.316 Å, 2θ = 71.7°, rel. 15; d = 1.208 Å, 2θ = 79.3°, rel. 22

Atomic structure:
```
10
Lattice="2.2388 -6.9823 0.0000 2.2388 6.9823 0.0000 0.0000 0.0000 5.6168" Properties=species:S:1:pos:R:3 pbc="T T T"
Cd 2.2388 5.4742 2.8084
Cd 2.2388 -5.4742 0.0000
Pd 2.2388 5.5633 5.6105
Pd 2.2388 2.7511 1.3379
Pd 2.2388 -2.7511 4.1463
Pd 2.2388 -5.5633 2.8021
Au 2.2388 2.7318 4.1050
Au 2.2388 0.0295 1.4581
Au 2.2388 -0.0295 4.2665
Au 2.2388 -2.7318 1.2966
```

***

(11)
Diffraction record for CdPd5Au3. The XRD peak list is simulated, not measured: it uses a structure optimized by DFT (PBE) and Cu Kα (λ = 1.5418 Å).

Main lines, sorted by position (2θ = 15–90°):
d = 3.706 Å, 2θ = 24.0°, rel. 100; d = 2.648 Å, 2θ = 33.8°, rel. 58; d = 2.634 Å, 2θ = 34.0°, rel. 59; d = 2.450 Å, 2θ = 36.7°, rel. 72; d = 2.157 Å, 2θ = 41.9°, rel. 76; d = 2.084 Å, 2θ = 43.4°, rel. 44; d = 2.043 Å, 2θ = 44.3°, rel. 48; d = 1.853 Å, 2θ = 49.2°, rel. 35; d = 1.846 Å, 2θ = 49.4°, rel. 28; d = 1.790 Å, 2θ = 51.0°, rel. 30

Atomic structure:
```
18
Lattice="4.1866 -3.7059 0.0000 4.1866 3.7059 0.0000 -1.1687 0.0000 11.2309" Properties=species:S:1:pos:R:3 pbc="T T T"
Cd 0.1612 0.0000 2.9706
Cd 7.0433 0.0000 8.2603
Pd 2.1161 2.0929 3.6652
Pd 2.3002 0.0000 1.4227
Pd 4.1866 1.2537 0.0000
Pd 5.0884 2.0929 7.5658
Pd 3.1693 0.0000 7.9065
Pd 4.0352 0.0000 3.3244
Pd 2.1161 -2.0929 3.6652
Pd 4.1866 -1.2537 0.0000
Pd 4.9042 0.0000 9.8082
Pd 5.0884 -2.0929 7.5658
Au 0.0000 0.0000 0.0000
Au -0.5844 0.0000 5.6155
Au 1.1256 0.0000 9.7583
Au 2.1580 0.0000 5.4334
Au 5.0465 0.0000 5.7975
Au 6.0789 0.0000 1.4726
```

***

(12)
Diffraction record for Cd2Pd3Au. The XRD peak list is simulated, not measured: it uses a structure optimized by DFT (PBE) and Cu Kα (λ = 1.5418 Å).

Main lines, sorted by position (2θ = 15–90°):
d = 3.224 Å, 2θ = 27.7°, rel. 2; d = 2.354 Å, 2θ = 38.2°, rel. 100; d = 2.146 Å, 2θ = 42.1°, rel. 38; d = 1.865 Å, 2θ = 48.8°, rel. 13; d = 1.518 Å, 2θ = 61.1°, rel. 12; d = 1.408 Å, 2θ = 66.4°, rel. 19; d = 1.276 Å, 2θ = 74.3°, rel. 14; d = 1.275 Å, 2θ = 74.4°, rel. 14; d = 1.177 Å, 2θ = 81.8°, rel. 11; d = 1.150 Å, 2θ = 84.1°, rel. 10

Atomic structure:
```
6
Lattice="2.1484 -6.4332 0.0000 2.1484 6.4332 0.0000 0.0000 0.0000 3.7296" Properties=species:S:1:pos:R:3 pbc="T T T"
Cd 2.1484 4.3308 0.0000
Cd 2.1484 -4.3308 0.0000
Pd 0.0000 0.0000 1.8648
Pd 2.1484 2.1631 1.8648
Pd 2.1484 -2.1631 1.8648
Au 2.1484 0.0000 0.0000
```